(1)
This entry pairs a crystal structure of Sm2SiSeO4 with its calculated powder XRD pattern. Radiation: Cu Ka. Structure: a structure optimized by DFT (PBE).
Neutral-atom scattering factors, no anomalous dispersion.

Most intense lines, 10 to 80 degrees two-theta, by angle:
2θ = 20.64°, rel. 43; 2θ = 21.60°, rel. 37; 2θ = 24.97°, rel. 43; 2θ = 29.80°, rel. 100; 2θ = 32.49°, rel. 69; 2θ = 32.60°, rel. 63; 2θ = 35.61°, rel. 52; 2θ = 40.16°, rel. 37

Structure:
```
Sm2SiSeO4
1.0
6.181 0.000 0.000
0.000 7.147 0.000
0.000 0.000 11.023
Sm Si Se O
8 4 4 16
direct
0.109 0.250 0.000
0.109 0.250 0.500
0.368 0.533 0.250
0.368 0.967 0.750
0.632 0.033 0.250
0.632 0.467 0.750
0.891 0.750 0.000
0.891 0.750 0.500
0.386 0.750 0.000
0.386 0.750 0.500
0.614 0.250 0.000
0.614 0.250 0.500
0.073 0.622 0.750
0.073 0.878 0.250
0.927 0.122 0.750
0.927 0.378 0.250
0.226 0.572 0.032
0.226 0.572 0.468
0.226 0.928 0.532
0.226 0.928 0.968
0.451 0.236 0.619
0.451 0.236 0.881
0.451 0.264 0.119
0.451 0.264 0.381
0.549 0.736 0.619
0.549 0.736 0.881
0.549 0.764 0.119
0.549 0.764 0.381
0.774 0.072 0.032
0.774 0.072 0.468
0.774 0.428 0.532
0.774 0.428 0.968
```

(2)
This entry pairs a crystal structure of ZrZn20Cu2 with its calculated powder XRD pattern. Radiation: Cu Ka. Structure: a structure optimized by DFT (PBE).
Neutral-atom scattering factors, no anomalous dispersion.

Most intense lines, 10 to 80 degrees two-theta, by angle:
2θ = 37.96°, rel. 100; 2θ = 40.70°, rel. 45; 2θ = 42.26°, rel. 84; 2θ = 42.78°, rel. 91; 2θ = 44.78°, rel. 27; 2θ = 46.24°, rel. 32; 2θ = 69.69°, rel. 22; 2θ = 76.93°, rel. 51

Structure:
```
ZrZn20Cu2
1.0
0.000 7.011 7.011
7.011 0.000 7.011
7.011 7.011 0.000
Zr Zn Cu
2 40 4
direct
0.125 0.125 0.125
0.875 0.875 0.875
0.000 0.000 0.000
0.000 0.000 0.500
0.000 0.500 0.000
0.057 0.321 0.321
0.057 0.321 0.800
0.057 0.800 0.321
0.200 0.679 0.679
0.200 0.679 0.943
0.200 0.943 0.679
0.238 0.238 0.512
0.238 0.512 0.238
0.238 0.512 0.512
0.321 0.057 0.321
0.321 0.057 0.800
0.321 0.321 0.057
0.321 0.321 0.800
0.321 0.800 0.057
0.321 0.800 0.321
0.488 0.488 0.762
0.488 0.762 0.488
0.488 0.762 0.762
0.500 0.000 0.000
0.512 0.238 0.238
0.512 0.238 0.512
0.512 0.512 0.238
0.679 0.200 0.679
0.679 0.200 0.943
0.679 0.679 0.200
0.679 0.679 0.943
0.679 0.943 0.200
0.679 0.943 0.679
0.762 0.488 0.488
0.762 0.488 0.762
0.762 0.762 0.488
0.800 0.057 0.321
0.800 0.321 0.057
0.800 0.321 0.321
0.943 0.200 0.679
0.943 0.679 0.200
0.943 0.679 0.679
0.000 0.500 0.500
0.500 0.000 0.500
0.500 0.500 0.000
0.500 0.500 0.500
```

(3)
This entry pairs a crystal structure of PrMgScPt2 with its calculated powder XRD pattern. Radiation: Cu Ka. Structure: a structure optimized by DFT (PBE).
Neutral-atom scattering factors, no anomalous dispersion.

Most intense lines, 10 to 80 degrees two-theta, by angle:
2θ = 22.31°, rel. 45; 2θ = 30.02°, rel. 96; 2θ = 30.37°, rel. 100; 2θ = 33.42°, rel. 56; 2θ = 42.43°, rel. 93; 2θ = 42.97°, rel. 63; 2θ = 53.53°, rel. 41; 2θ = 61.98°, rel. 61

Structure:
```
PrMgScPt2
1.0
-2.105 2.105 6.176
2.105 -2.105 6.176
2.105 2.105 -6.176
Pr Mg Sc Pt
1 1 1 2
direct
0.000 0.000 0.000
0.750 0.250 0.500
0.250 0.750 0.500
0.389 0.389 0.000
0.611 0.611 0.000
```

(4)
This entry pairs a crystal structure of MnTl2Au with its calculated powder XRD pattern. Radiation: Cu Ka. Structure: a structure optimized by DFT (PBE).
Neutral-atom scattering factors, no anomalous dispersion.

Most intense lines, 10 to 80 degrees two-theta, by angle:
2θ = 32.30°, rel. 61; 2θ = 34.91°, rel. 100; 2θ = 37.05°, rel. 85; 2θ = 38.57°, rel. 38; 2θ = 51.16°, rel. 34; 2θ = 52.46°, rel. 16; 2θ = 57.82°, rel. 24; 2θ = 62.17°, rel. 19

Structure:
```
MnTl2Au
1.0
3.418 0.000 0.000
0.000 4.669 0.000
-0.680 0.000 5.681
Mn Tl Au
1 2 1
direct
0.000 0.000 0.000
0.259 0.500 0.753
0.741 0.500 0.247
0.500 0.000 0.500
```